For Zn2Pd9W, a cell relaxed with PBE gives the calculated powder X-ray diffraction pattern in this record (Cu Kα (λ = 1.5418 Å)).
Peak positions follow from Bragg's law for the DFT cell and can differ from measured ones.

Largest 6 diffraction maxima, low angle first, 10° ≤ 2θ ≤ 90°:
- hkl 1 1 3, 2θ 39.79, 2.265 Å, I = 100
- hkl 0 0 6, 2θ 46.02, 1.972 Å, I = 16
- hkl 2 0 0, 2θ 46.40, 1.957 Å, I = 32
- hkl 2 0 6, 2θ 67.42, 1.389 Å, I = 20
- hkl 1 1 9, 2θ 80.96, 1.188 Å, I = 12
- hkl 3 1 3, 2θ 81.52, 1.181 Å, I = 24

Structural model:
Cell lengths 3.914, 3.914, 11.833 Å; angles 90.00, 90.00, 90.00 degrees
Space group P4/mmm (No. 123)
Symmetry-distinct sites (fractional):
Zn: 0.000 0.000 0.160 x2
Pd: 0.000 0.500 0.000 x2
Pd: 0.000 0.500 0.339 x4
Pd: 0.500 0.500 0.170 x2
Pd: 0.500 0.500 0.500 x1
W: 0.000 0.000 0.500 x1